This entry pairs a crystal structure of La5SmCo3 with its simulated powder diffractogram. Radiation: CuKα. Structure: a crystal structure in Alexandria, relaxed with PBE.
Lines closer than 0.1° are merged.

Peak list (10 most intense, 2θ = 15–90°, most intense first)
two_theta, I/Imax, index
28.9, 100, 2 2 1
30.3, 43, 3 1 -3
46.8, 41, 5 3 -2
37.5, 23, 1 1 -4
19.0, 22, 0 2 0
27.1, 22, 2 2 -2
38.6, 19, 0 4 0
54.2, 17, 1 1 5
57.7, 16, 3 5 -3
43.8, 15, 4 0 2

Structure:
```
data_La5SmCo3
_space_group_name_H-M_alt 'C 1 2/m 1'
_space_group_IT_number 12
_space_group_name_Hall '-C 2y'
_cell_length_a 12.4567
_cell_length_b 9.3232
_cell_length_c 10.1845
_cell_angle_alpha 90.00
_cell_angle_beta 114.55
_cell_angle_gamma 90.00
loop_
_atom_site_label
_atom_site_type_symbol
_atom_site_fract_x
_atom_site_fract_y
_atom_site_fract_z
_atom_site_occupancy
La1 La 0.0000 0.1945 0.0000 1
La2 La 0.0636 0.0000 0.3714 1
La3 La 0.1025 0.5000 0.2937 1
La4 La 0.1669 0.3070 0.6705 1
Sm1 Sm 0.2325 0.5000 0.0361 1
Co1 Co 0.0000 0.5000 0.0000 1
Co2 Co 0.0000 0.5000 0.5000 1
Co3 Co 0.1662 0.0000 0.1670 1
Co4 Co 0.1657 0.0000 0.6647 1
```